Starting from a DFT-relaxed cell (PBE, Alexandria), the powder XRD pattern of Tm4Hf3N8 was computed for copper Kα.
Neutral-atom scattering factors, no anomalous dispersion.

Main lines, low angle first (2θ = 5–70°):
(hkl)  2θ/deg  Rel. int.
2 2 0  33.2  100.0
2 2 -2  33.4  98.2
0 0 2  38.5  48.1
0 4 0  38.7  47.6
4 0 -2  38.9  46.8
0 4 2  55.7  32.3

Crystal structure
Unit cell a=9.263 b=9.313 c=6.552 alpha=90.00 beta=134.45 gamma=90.00
Space group C2/m (No. 12)
Inequivalent atoms, fractional coordinates:
Tm (0.000, 0.000, 0.000) (multiplicity 2)
Tm (0.000, 0.500, 0.500) (multiplicity 2)
Tm (0.250, 0.250, 0.000) (multiplicity 4)
Hf (0.000, 0.500, 0.000) (multiplicity 2)
Hf (0.250, 0.250, 0.500) (multiplicity 4)
N (0.000, 0.255, 0.000) (multiplicity 4)
N (0.000, 0.256, 0.500) (multiplicity 4)
N (0.230, 0.500, 0.981) (multiplicity 4)
N (0.240, 0.500, 0.486) (multiplicity 4)

***

Starting from a DFT-relaxed cell (PBE, Alexandria), the powder XRD pattern of LaTb3Sm was computed for copper Kα.
Neutral-atom scattering factors, no anomalous dispersion.

Main lines, low angle first (2θ = 5–70°):
(hkl)  2θ/deg  Rel. int.
1 0 2  28.1  23.7
0 2 -2  30.9  24.6
1 0 -3  32.1  100.0
0 1 4  49.7  19.7
1 2 -5  55.7  14.0
3 1 0  59.7  15.1

Crystal structure
Unit cell a=6.357 b=6.849 c=9.364 alpha=108.23 beta=90.05 gamma=117.61
Space group P-1 (No. 2)
Inequivalent atoms, fractional coordinates:
La (0.130, 0.103, 0.349) (multiplicity 2)
Tb (0.066, 0.302, 0.049) (multiplicity 2)
Tb (0.265, 0.700, 0.448) (multiplicity 2)
Tb (0.334, 0.503, 0.751) (multiplicity 2)
Sm (0.467, 0.104, 0.852) (multiplicity 2)

***

Starting from a DFT-relaxed cell (PBE, Alexandria), the powder XRD pattern of Sm3Dy2Er8 was computed for copper Kα.
Neutral-atom scattering factors, no anomalous dispersion.

Main lines, low angle first (2θ = 5–70°):
(hkl)  2θ/deg  Rel. int.
2 1 1  30.9  99.0
1 0 -3  31.0  98.7
2 -1 0  35.9  100.0
2 3 2  51.7  71.1
4 0 1  61.4  56.4
2 2 -5  61.5  28.0

Crystal structure
Unit cell a=6.129 b=6.131 c=11.181 alpha=89.96 beta=79.47 gamma=80.41
Space group P-1 (No. 2)
Inequivalent atoms, fractional coordinates:
Sm (0.000, 0.000, 0.000) (multiplicity 1)
Sm (0.231, 0.462, 0.078) (multiplicity 2)
Dy (0.384, 0.769, 0.462) (multiplicity 2)
Er (0.077, 0.153, 0.690) (multiplicity 2)
Er (0.154, 0.308, 0.386) (multiplicity 2)
Er (0.308, 0.614, 0.767) (multiplicity 2)
Er (0.462, 0.924, 0.156) (multiplicity 2)

***

Starting from a DFT-relaxed cell (PBE, Alexandria), the powder XRD pattern of BaCu2SbS4 was computed for copper Kα.
Neutral-atom scattering factors, no anomalous dispersion.

Main lines, low angle first (2θ = 5–70°):
(hkl)  2θ/deg  Rel. int.
0 2 0  23.5  33.1
1 1 2  28.1  100.0
2 2 0  36.6  50.2
1 3 2  44.2  28.2
1 1 4  47.5  24.7
3 1 2  49.1  22.0

Crystal structure
Unit cell a=6.461 b=7.573 c=8.320 alpha=90.00 beta=90.00 gamma=90.00
Space group I222 (No. 23)
Inequivalent atoms, fractional coordinates:
Ba (0.000, 0.000, 0.000) (multiplicity 2)
Cu (0.000, 0.500, 0.166) (multiplicity 4)
Sb (0.000, 0.000, 0.500) (multiplicity 2)
S (0.237, 0.178, 0.317) (multiplicity 8)

***

Starting from a DFT-relaxed cell (PBE, Alexandria), the powder XRD pattern of HoMg2Hg4 was computed for copper Kα.
Neutral-atom scattering factors, no anomalous dispersion.

Main lines, low angle first (2θ = 5–70°):
(hkl)  2θ/deg  Rel. int.
1 0 4  25.5  78.4
0 1 8  36.2  90.6
1 1 0  36.6  100.0
2 0 8  52.4  31.8
1 2 8  65.6  32.6
3 0 0  65.8  18.3

Crystal structure
Unit cell a=4.9144 b=4.9144 c=24.4256 alpha=90.00 beta=90.00 gamma=120.00
Space group R-3m (No. 166, hexagonal axes)
Inequivalent atoms, fractional coordinates:
Ho (0.0000, 0.0000, 0.0000) (multiplicity 3)
Mg (0.0000, 0.0000, 0.2493) (multiplicity 6)
Hg (0.0000, 0.0000, 0.1298) (multiplicity 6)
Hg (0.0000, 0.0000, 0.3851) (multiplicity 6)

***

Starting from a DFT-relaxed cell (PBE, Alexandria), the powder XRD pattern of CaLaNd14 was computed for copper Kα.
Neutral-atom scattering factors, no anomalous dispersion.

Main lines, low angle first (2θ = 5–70°):
(hkl)  2θ/deg  Rel. int.
0 2 2  27.6  23.6
4 0 0  29.9  25.4
2 0 4  31.5  100.0
0 4 0  48.8  19.5
6 0 4  54.1  21.5
4 4 0  58.3  22.9

Crystal structure
Unit cell a=11.942 b=7.460 c=12.933 alpha=90.00 beta=90.00 gamma=90.00
Space group Amm2 (No. 38)
Inequivalent atoms, fractional coordinates:
Ca (0.000, 0.000, 0.000) (multiplicity 2)
La (0.000, 0.000, 0.498) (multiplicity 2)
Nd (0.000, 0.247, 0.250) (multiplicity 4)
Nd (0.250, 0.000, 0.333) (multiplicity 4)
Nd (0.251, 0.000, 0.831) (multiplicity 4)
Nd (0.252, 0.246, 0.585) (multiplicity 8)
Nd (0.500, 0.000, 0.000) (multiplicity 2)
Nd (0.500, 0.000, 0.500) (multiplicity 2)
Nd (0.500, 0.250, 0.250) (multiplicity 4)

***

Starting from a DFT-relaxed cell (PBE, Alexandria), the powder XRD pattern of Ba2NbO6 was computed for copper Kα.
Neutral-atom scattering factors, no anomalous dispersion.

Main lines, low angle first (2θ = 5–70°):
(hkl)  2θ/deg  Rel. int.
1 1 -1  27.0  100.0
0 2 0  28.0  12.8
2 0 1  29.8  10.5
2 2 1  41.3  22.3
4 2 -1  46.0  15.1
3 3 0  49.0  18.4

Crystal structure
Unit cell a=11.719 b=6.372 c=3.907 alpha=90.00 beta=99.02 gamma=90.00
Space group C2/m (No. 12)
Inequivalent atoms, fractional coordinates:
Ba (0.167, 0.000, 0.183) (multiplicity 4)
Nb (0.000, 0.500, 0.500) (multiplicity 2)
O (0.000, 0.307, 0.000) (multiplicity 4)
O (0.127, 0.288, 0.655) (multiplicity 8)

***

Starting from a DFT-relaxed cell (PBE, Alexandria), the powder XRD pattern of Nd4GeP2 was computed for copper Kα.
Neutral-atom scattering factors, no anomalous dispersion.

Main lines, low angle first (2θ = 5–70°):
(hkl)  2θ/deg  Rel. int.
1 1 2  25.7  33.5
0 2 4  29.0  100.0
1 1 3  29.5  43.2
1 3 1  29.8  84.9
1 3 2  31.9  48.6
0 0 8  52.9  47.9

Crystal structure
Unit cell a=4.187 b=13.514 c=13.860 alpha=90.00 beta=90.00 gamma=90.00
Space group Cmcm (No. 63)
Inequivalent atoms, fractional coordinates:
Nd (0.000, 0.000, 0.000) (multiplicity 4)
Nd (0.000, 0.273, 0.121) (multiplicity 8)
Nd (0.000, 0.452, 0.750) (multiplicity 4)
Ge (0.000, 0.108, 0.750) (multiplicity 4)
P (0.000, 0.363, 0.562) (multiplicity 8)

***

Starting from a DFT-relaxed cell (PBE, Alexandria), the powder XRD pattern of Ho2Tm3Cu2 was computed for copper Kα.
Neutral-atom scattering factors, no anomalous dispersion.

Main lines, low angle first (2θ = 5–70°):
(hkl)  2θ/deg  Rel. int.
4 0 -1  27.5  35.8
1 1 1  29.3  94.1
2 0 -3  32.4  47.4
4 0 1  34.7  43.6
3 1 -2  36.1  100.0
7 1 -1  56.1  29.3

Crystal structure
Unit cell a=12.993 b=3.581 c=8.324 alpha=90.00 beta=109.28 gamma=90.00
Space group C2/m (No. 12)
Inequivalent atoms, fractional coordinates:
Ho (0.127, 0.000, 0.464) (multiplicity 4)
Tm (0.000, 0.500, 0.000) (multiplicity 2)
Tm (0.249, 0.500, 0.833) (multiplicity 4)
Cu (0.076, 0.000, 0.796) (multiplicity 4)

***

Starting from a DFT-relaxed cell (PBE, Alexandria), the powder XRD pattern of La5DyTh was computed for copper Kα.
Neutral-atom scattering factors, no anomalous dispersion.

Main lines, low angle first (2θ = 5–70°):
(hkl)  2θ/deg  Rel. int.
0 0 2  14.4  100.0
1 1 0  17.8  74.9
0 2 0  19.6  70.4
0 0 4  29.1  81.0
2 0 0  30.0  74.4
1 3 0  33.3  61.2

Crystal structure
Unit cell a=5.950 b=9.050 c=12.286 alpha=90.00 beta=90.00 gamma=90.00
Space group Immm (No. 71)
Inequivalent atoms, fractional coordinates:
La (0.000, 0.000, 0.000) (multiplicity 2)
La (0.000, 0.181, 0.500) (multiplicity 4)
La (0.000, 0.500, 0.249) (multiplicity 4)
Dy (0.000, 0.500, 0.500) (multiplicity 2)
Th (0.000, 0.500, 0.000) (multiplicity 2)

***

Starting from a DFT-relaxed cell (PBE, Alexandria), the powder XRD pattern of NdBePd3 was computed for copper Kα.
Neutral-atom scattering factors, no anomalous dispersion.

Main lines, low angle first (2θ = 5–70°):
(hkl)  2θ/deg  Rel. int.
0 0 2  32.1  36.0
2 0 0  34.8  20.9
2 0 1  38.5  100.0
2 0 2  48.0  18.4
2 0 3  61.5  24.8
2 2 0  62.4  15.8

Crystal structure
Unit cell a=5.9564 b=5.9564 c=5.5781 alpha=90.00 beta=90.00 gamma=120.00
Space group P6_3/mmc (No. 194)
Inequivalent atoms, fractional coordinates:
Nd (0.3333, 0.6667, 0.2500) (multiplicity 2)
Be (0.0000, 0.0000, 0.0000) (multiplicity 2)
Pd (0.1743, 0.3485, 0.7500) (multiplicity 6)

***

Starting from a DFT-relaxed cell (PBE, Alexandria), the powder XRD pattern of Sb6PdPt2 was computed for copper Kα.
Neutral-atom scattering factors, no anomalous dispersion.

Main lines, low angle first (2θ = 5–70°):
(hkl)  2θ/deg  Rel. int.
1 1 1  22.4  19.4
3 0 1  30.8  100.0
0 3 2  43.1  54.1
3 3 0  45.2  44.7
0 6 1  55.7  17.1
6 0 2  64.2  15.4

Crystal structure
Unit cell a=12.0381 b=12.0381 c=5.2677 alpha=90.00 beta=90.00 gamma=120.00
Space group P-3m1 (No. 164)
Inequivalent atoms, fractional coordinates:
Sb (0.0937, 0.5469, 0.2169) (multiplicity 6)
Sb (0.1148, 0.2296, 0.2217) (multiplicity 6)
Sb (0.2132, 0.4265, 0.7764) (multiplicity 6)
Pd (0.0000, 0.0000, 0.5000) (multiplicity 1)
Pd (0.3333, 0.6667, 0.9900) (multiplicity 2)
Pt (0.0000, 0.3343, 0.5000) (multiplicity 6)